This entry pairs a crystal structure of Zr5Be4Cu4 with its simulated PXRD pattern. Radiation: Cu Kα, 1.54184 Å. Structure: a structure optimized by DFT (GGA-PBE).
Neutral-atom scattering factors, no anomalous dispersion.

Structure:
```
data_Zr5Be4Cu4
_cell_length_a 10.1247
_cell_length_b 10.1247
_cell_length_c 3.8146
_cell_angle_alpha 90.00
_cell_angle_beta 90.00
_cell_angle_gamma 90.00
_symmetry_space_group_name_H-M 'I 4/m'
_symmetry_Int_Tables_number 87
_symmetry_space_group_name_Hall '-I 4'
loop_
_atom_site_label
_atom_site_type_symbol
_atom_site_fract_x
_atom_site_fract_y
_atom_site_fract_z
Zr1 Zr 0.0000 0.0000 0.0000
Zr2 Zr 0.1379 0.2033 0.5000
Be1 Be 0.0491 0.7351 0.0000
Cu1 Cu 0.0715 0.6054 0.5000
```

Peak list (6 most intense, 10° ≤ 2θ ≤ 90°, most intense first)
- 2θ 39.86, I 100
- 2θ 30.65, I 51
- 2θ 35.51, I 37
- 2θ 45.69, I 34
- 2θ 47.68, I 20
- 2θ 68.18, I 19